For DySi4Os4, the GGA-PBE geometry in Alexandria gives the theoretical X-ray powder pattern in this record (copper Kα).

The 12 most intense peaks (10 to 90 degrees two-theta), by angle:
- 4.783 Å, 18.55 deg, I = 17
- 3.326 Å, 26.80 deg, I = 49
- 2.793 Å, 32.05 deg, I = 56
- 2.529 Å, 35.50 deg, I = 100
- 2.439 Å, 36.86 deg, I = 42
- 2.219 Å, 40.65 deg, I = 39
- 2.107 Å, 42.93 deg, I = 32
- 1.989 Å, 45.60 deg, I = 39
- 1.619 Å, 56.88 deg, I = 21
- 1.594 Å, 57.84 deg, I = 16
- 1.490 Å, 62.33 deg, I = 22
- 1.452 Å, 64.13 deg, I = 37

Cell and atoms:
Cell: 5.959 5.959 8.018 Å, 90.00 90.00 90.00°
Space group P4_2/nmc (No. 137, origin choice 2)
One atom of each set of equivalent atoms:
Dy  0.250  0.750  0.250 (multiplicity 2)
Si  0.053  0.250  0.072 (multiplicity 8)
Os  0.003  0.250  0.373 (multiplicity 8)